Record 1
Starting from a PBE-relaxed structure, the X-ray diffraction stick pattern of Tl2GePbO4 was simulated for Cu Kα (λ = 1.5418 Å).
Intensities are scaled so that the largest is 100.

Crystal structure
```
Tl2GePbO4
1.0
7.913 0.000 0.000
0.000 8.103 0.000
0.000 0.000 5.403
Tl Ge Pb O
4 2 2 8
Direct
0.222 0.189 0.000
0.278 0.811 0.500
0.722 0.811 0.500
0.778 0.189 0.000
0.000 0.405 0.483
0.500 0.595 0.983
0.000 0.675 0.005
0.500 0.325 0.505
0.000 0.409 0.146
0.000 0.621 0.577
0.188 0.308 0.582
0.312 0.692 0.082
0.500 0.379 0.077
0.500 0.591 0.646
0.688 0.692 0.082
0.812 0.308 0.582
```

Top 10 peaks for 10° ≤ 2θ ≤ 80°, in order of rising 2θ:
2θ 19.9, I = 15
2θ 21.9, I = 30
2θ 25.0, I = 27
2θ 27.5, I = 56
2θ 30.1, I = 100
2θ 33.2, I = 34
2θ 40.4, I = 25
2θ 48.0, I = 16
2θ 53.3, I = 22
2θ 57.3, I = 19



Record 2
Starting from a PBE-relaxed structure, the X-ray diffraction stick pattern of Tm3BiSe3 was simulated for Cu Kα (λ = 1.5418 Å).
Intensities are scaled so that the largest is 100.

Crystal structure
```
Tm3BiSe3
1.0
4.075 2.352 7.228
-4.075 2.352 7.228
0.000 -4.705 7.228
Tm Bi Se
6 2 6
Direct
0.015 0.786 0.424
0.214 0.576 0.985
0.424 0.015 0.786
0.576 0.985 0.214
0.786 0.424 0.015
0.985 0.214 0.576
0.166 0.166 0.166
0.834 0.834 0.834
0.127 0.369 0.667
0.333 0.873 0.631
0.369 0.667 0.127
0.631 0.333 0.873
0.667 0.127 0.369
0.873 0.631 0.333
```

Top 10 peaks for 10° ≤ 2θ ≤ 80°, in order of rising 2θ:
2θ 13.2, I = 23
2θ 15.0, I = 24
2θ 25.1, I = 100
2θ 33.1, I = 79
2θ 33.9, I = 35
2θ 34.6, I = 26
2θ 37.3, I = 20
2θ 38.3, I = 57
2θ 43.6, I = 23
2θ 54.5, I = 24



Record 3
Starting from a PBE-relaxed structure, the X-ray diffraction stick pattern of Ac3Ga4Hg was simulated for Cu Kα (λ = 1.5418 Å).
Intensities are scaled so that the largest is 100.

Crystal structure
```
Ac3Ga4Hg
1.0
21.717 0.000 0.000
0.000 4.520 0.000
-0.637 0.000 4.715
Ac Ga Hg
6 8 2
Direct
0.000 0.000 0.000
0.163 0.000 0.466
0.337 0.500 0.534
0.500 0.500 0.000
0.663 0.500 0.466
0.837 0.000 0.534
0.104 0.500 0.941
0.221 0.500 0.969
0.279 0.000 0.031
0.396 0.000 0.059
0.604 0.000 0.941
0.721 0.000 0.969
0.779 0.500 0.031
0.896 0.500 0.059
0.000 0.500 0.500
0.500 0.000 0.500
```

Top 10 peaks for 10° ≤ 2θ ≤ 80°, in order of rising 2θ:
2θ 24.8, I = 34
2θ 29.0, I = 100
2θ 29.2, I = 16
2θ 31.1, I = 73
2θ 33.3, I = 16
2θ 38.2, I = 27
2θ 39.9, I = 28
2θ 42.8, I = 17
2θ 56.4, I = 18
2θ 65.8, I = 16



Record 4
Starting from a PBE-relaxed structure, the X-ray diffraction stick pattern of NpPO5 was simulated for Cu Kα (λ = 1.5418 Å).
Intensities are scaled so that the largest is 100.

Crystal structure
```
NpPO5
1.0
7.969 0.000 0.000
0.000 6.922 0.000
0.000 0.000 7.887
Np P O
4 4 20
Direct
0.126 0.250 0.249
0.374 0.750 0.749
0.626 0.250 0.251
0.874 0.750 0.751
0.125 0.750 0.126
0.375 0.250 0.626
0.625 0.750 0.374
0.875 0.250 0.874
0.036 0.250 0.988
0.124 0.568 0.239
0.124 0.932 0.239
0.125 0.750 0.685
0.216 0.250 0.511
0.284 0.750 0.011
0.375 0.250 0.185
0.376 0.068 0.739
0.376 0.432 0.739
0.464 0.750 0.488
0.536 0.250 0.512
0.624 0.568 0.261
0.624 0.932 0.261
0.625 0.750 0.815
0.716 0.250 0.989
0.784 0.750 0.489
0.875 0.250 0.315
0.876 0.068 0.761
0.876 0.432 0.761
0.964 0.750 0.012
```

Top 10 peaks for 10° ≤ 2θ ≤ 80°, in order of rising 2θ:
2θ 17.0, I = 100
2θ 22.5, I = 37
2θ 25.0, I = 72
2θ 25.8, I = 69
2θ 34.5, I = 47
2θ 36.2, I = 35
2θ 36.6, I = 23
2θ 40.7, I = 18
2θ 51.3, I = 28
2θ 53.5, I = 23



Record 5
Starting from a PBE-relaxed structure, the X-ray diffraction stick pattern of PrSc3Tl4 was simulated for Cu Kα (λ = 1.5418 Å).
Intensities are scaled so that the largest is 100.

Crystal structure
```
PrSc3Tl4
1.0
10.437 0.000 0.000
0.000 7.433 0.000
0.000 0.000 5.217
Pr Sc Tl
2 6 8
Direct
0.000 0.000 0.000
0.500 0.000 0.000
0.000 0.500 0.000
0.250 0.000 0.497
0.250 0.500 0.496
0.500 0.500 0.000
0.750 0.000 0.503
0.750 0.500 0.504
0.000 0.266 0.500
0.000 0.734 0.500
0.250 0.266 0.996
0.250 0.734 0.996
0.500 0.266 0.500
0.500 0.734 0.500
0.750 0.266 0.004
0.750 0.734 0.004
```

Top 10 peaks for 10° ≤ 2θ ≤ 80°, in order of rising 2θ:
2θ 23.9, I = 14
2θ 24.1, I = 29
2θ 34.2, I = 100
2θ 34.4, I = 51
2θ 42.3, I = 13
2θ 49.4, I = 18
2θ 55.7, I = 13
2θ 61.2, I = 17
2θ 61.5, I = 37
2θ 72.2, I = 10



Record 6
Starting from a PBE-relaxed structure, the X-ray diffraction stick pattern of Th4OsSe2N was simulated for Cu Kα (λ = 1.5418 Å).
Intensities are scaled so that the largest is 100.

Crystal structure
```
Th4OsSe2N
1.0
6.961 0.000 0.000
0.000 3.946 0.000
-2.325 0.000 7.117
Th Os Se N
4 1 2 1
Direct
0.216 0.000 0.207
0.251 0.500 0.784
0.749 0.500 0.216
0.784 0.000 0.793
0.500 0.000 0.000
0.000 0.000 0.500
0.500 0.500 0.500
0.000 0.500 0.000
```

Top 10 peaks for 10° ≤ 2θ ≤ 80°, in order of rising 2θ:
2θ 12.4, I = 19
2θ 26.9, I = 12
2θ 27.3, I = 26
2θ 30.7, I = 53
2θ 31.0, I = 100
2θ 42.7, I = 15
2θ 42.9, I = 34
2θ 45.3, I = 37
2θ 46.0, I = 19
2θ 56.3, I = 20



Record 7
Starting from a PBE-relaxed structure, the X-ray diffraction stick pattern of Cs2Tl2Au3 was simulated for Cu Kα (λ = 1.5418 Å).
Intensities are scaled so that the largest is 100.

Crystal structure
```
Cs2Tl2Au3
1.0
8.270 0.000 0.000
0.000 8.110 0.000
-3.371 0.000 8.391
Cs Tl Au
4 4 6
Direct
0.215 0.151 0.400
0.215 0.349 0.900
0.785 0.651 0.100
0.785 0.849 0.600
0.321 0.655 0.543
0.321 0.845 0.043
0.679 0.155 0.957
0.679 0.345 0.457
0.000 0.000 0.000
0.000 0.500 0.500
0.433 0.594 0.278
0.433 0.906 0.778
0.567 0.094 0.222
0.567 0.406 0.722
```

Top 10 peaks for 10° ≤ 2θ ≤ 80°, in order of rising 2θ:
2θ 11.5, I = 48
2θ 15.2, I = 83
2θ 24.2, I = 48
2θ 24.4, I = 39
2θ 25.7, I = 55
2θ 28.7, I = 100
2θ 31.7, I = 59
2θ 42.1, I = 42
2θ 46.6, I = 40
2θ 51.8, I = 34



Record 8
Starting from a PBE-relaxed structure, the X-ray diffraction stick pattern of RbNa2Pu2O7 was simulated for Cu Kα (λ = 1.5418 Å).
Intensities are scaled so that the largest is 100.

Crystal structure
```
RbNa2Pu2O7
1.0
-2.156 2.156 9.867
2.156 -2.156 9.867
2.156 2.156 -9.867
Rb Na Pu O
1 2 2 7
Direct
0.000 0.000 0.000
0.250 0.750 0.500
0.750 0.250 0.500
0.392 0.392 0.000
0.608 0.608 0.000
0.108 0.608 0.500
0.291 0.291 0.000
0.392 0.892 0.500
0.500 0.500 0.000
0.608 0.108 0.500
0.709 0.709 0.000
0.892 0.392 0.500
```

Top 10 peaks for 10° ≤ 2θ ≤ 80°, in order of rising 2θ:
2θ 18.0, I = 32
2θ 21.1, I = 81
2θ 24.7, I = 58
2θ 29.3, I = 48
2θ 30.7, I = 100
2θ 34.6, I = 23
2θ 41.9, I = 39
2θ 46.0, I = 21
2θ 47.4, I = 31
2θ 52.8, I = 40



Record 9
Starting from a PBE-relaxed structure, the X-ray diffraction stick pattern of Dy2TlH was simulated for Cu Kα (λ = 1.5418 Å).
Intensities are scaled so that the largest is 100.

Crystal structure
```
Dy2TlH
1.0
5.342 0.000 0.000
0.000 12.590 0.000
0.000 0.000 5.244
Dy Tl H
8 4 4
Direct
0.248 0.094 0.000
0.248 0.906 0.500
0.252 0.406 0.000
0.252 0.594 0.500
0.748 0.406 0.500
0.748 0.594 0.000
0.752 0.094 0.500
0.752 0.906 0.000
0.250 0.250 0.500
0.250 0.750 0.000
0.750 0.250 0.000
0.750 0.750 0.500
0.000 0.500 0.250
0.000 0.500 0.750
0.500 0.000 0.250
0.500 0.000 0.750
```

Top 10 peaks for 10° ≤ 2θ ≤ 80°, in order of rising 2θ:
2θ 32.0, I = 100
2θ 33.6, I = 23
2θ 34.2, I = 22
2θ 43.1, I = 10
2θ 48.7, I = 16
2θ 55.7, I = 10
2θ 59.0, I = 18
2θ 59.9, I = 17
2θ 67.0, I = 11
2θ 72.1, I = 10



Record 10
Starting from a PBE-relaxed structure, the X-ray diffraction stick pattern of TbCuPd6 was simulated for Cu Kα (λ = 1.5418 Å).
Intensities are scaled so that the largest is 100.

Crystal structure
```
TbCuPd6
1.0
4.040 0.000 0.000
0.000 4.040 0.000
0.000 0.000 7.975
Tb Cu Pd
1 1 6
Direct
0.000 0.000 0.000
0.000 0.000 0.500
0.000 0.500 0.266
0.000 0.500 0.734
0.500 0.000 0.266
0.500 0.000 0.734
0.500 0.500 0.000
0.500 0.500 0.500
```

Top 10 peaks for 10° ≤ 2θ ≤ 80°, in order of rising 2θ:
2θ 24.7, I = 3
2θ 33.3, I = 3
2θ 38.8, I = 100
2θ 44.9, I = 34
2θ 45.5, I = 15
2θ 65.3, I = 11
2θ 65.8, I = 19
2θ 67.2, I = 2
2θ 78.6, I = 24
2θ 79.5, I = 10



Record 11
Starting from a PBE-relaxed structure, the X-ray diffraction stick pattern of Cs2PuAgSe4 was simulated for Cu Kα (λ = 1.5418 Å).
Intensities are scaled so that the largest is 100.

Crystal structure
```
Cs2PuAgSe4
1.0
0.000 7.595 13.056
3.310 0.000 13.056
3.310 7.595 0.000
Cs Pu Ag Se
4 2 2 8
Direct
0.054 0.054 0.696
0.304 0.304 0.946
0.696 0.696 0.054
0.946 0.946 0.304
0.125 0.125 0.125
0.875 0.875 0.875
0.375 0.375 0.375
0.625 0.625 0.625
0.033 0.320 0.428
0.281 0.572 0.680
0.320 0.033 0.719
0.428 0.719 0.033
0.572 0.281 0.967
0.680 0.967 0.281
0.719 0.428 0.320
0.967 0.680 0.572
```

Top 10 peaks for 10° ≤ 2θ ≤ 80°, in order of rising 2θ:
2θ 13.5, I = 100
2θ 22.4, I = 29
2θ 23.6, I = 65
2θ 24.4, I = 29
2θ 28.0, I = 63
2θ 29.4, I = 35
2θ 34.0, I = 43
2θ 36.7, I = 23
2θ 45.1, I = 26
2θ 48.2, I = 30



Record 12
Starting from a PBE-relaxed structure, the X-ray diffraction stick pattern of La3Er2PaP6 was simulated for Cu Kα (λ = 1.5418 Å).
Intensities are scaled so that the largest is 100.

Crystal structure
```
La3Er2PaP6
1.0
3.547 -6.143 0.000
3.547 6.143 0.000
-2.360 0.000 6.768
La Er Pa P
3 2 1 6
Direct
0.000 0.000 0.000
0.332 0.668 0.000
0.668 0.332 0.000
0.166 0.834 0.500
0.834 0.166 0.500
0.500 0.500 0.500
0.095 0.424 0.270
0.249 0.249 0.730
0.424 0.095 0.270
0.576 0.905 0.730
0.751 0.751 0.270
0.905 0.576 0.730
```

Top 10 peaks for 10° ≤ 2θ ≤ 80°, in order of rising 2θ:
2θ 26.3, I = 23
2θ 26.6, I = 65
2θ 30.8, I = 100
2θ 43.9, I = 37
2θ 44.2, I = 37
2θ 51.9, I = 11
2θ 52.2, I = 22
2θ 54.8, I = 19
2θ 64.1, I = 12
2θ 73.0, I = 17